[1]
Calculated XRD peak list of Ce6In2CoOs for copper Kα, from a DFT-relaxed cell (PBE, Alexandria).

```
data_Ce6In2CoOs
_cell_length_a 10.4739
_cell_length_b 10.4908
_cell_length_c 10.5980
_cell_angle_alpha 90.00
_cell_angle_beta 90.00
_cell_angle_gamma 90.00
_symmetry_space_group_name_H-M 'F m m 2'
_symmetry_Int_Tables_number 42
_symmetry_space_group_name_Hall 'F 2 -2'
loop_
_atom_site_label
_atom_site_type_symbol
_atom_site_fract_x
_atom_site_fract_y
_atom_site_fract_z
_atom_site_occupancy
Ce1 Ce 0.0000 0.0000 0.0000 1
Ce2 Ce 0.0000 0.0000 0.4933 1
Ce3 Ce 0.0000 0.2431 0.2472 1
Ce4 Ce 0.2425 0.0000 0.2471 1
In1 In 0.2500 0.2500 0.4968 1
Co1 Co 0.0000 0.0000 0.2469 1
Os1 Os 0.0000 0.0000 0.7461 1
```

Principal peaks in the range 10° ≤ 2θ ≤ 80°, in order of falling intensity:
- 3.037 Å, I = 100
- 2.621 Å, I = 86
- 1.863 Å, I = 62
- 2.649 Å, I = 45
- 1.518 Å, I = 32
- 1.853 Å, I = 31

[2]
Calculated XRD peak list of Ce2ZnInCo for copper Kα, from a DFT-relaxed cell (PBE, Alexandria).

```
data_Ce2ZnInCo
_cell_length_a 6.9016
_cell_length_b 4.5755
_cell_length_c 7.5383
_cell_angle_alpha 90.00
_cell_angle_beta 107.27
_cell_angle_gamma 90.00
_symmetry_space_group_name_H-M 'P 1 21/m 1'
_symmetry_Int_Tables_number 11
_symmetry_space_group_name_Hall '-P 2yb'
loop_
_atom_site_label
_atom_site_type_symbol
_atom_site_fract_x
_atom_site_fract_y
_atom_site_fract_z
_atom_site_occupancy
Ce1 Ce 0.1476 0.2500 0.3350 1
Ce2 Ce 0.2690 0.2500 0.9580 1
Zn1 Zn 0.4286 0.7500 0.2944 1
In1 In 0.3319 0.7500 0.6516 1
Co1 Co 0.0763 0.7500 0.0660 1
```

Principal peaks in the range 10° ≤ 2θ ≤ 80°, in order of falling intensity:
- 2.829 Å, I = 100
- 2.447 Å, I = 85
- 2.288 Å, I = 74
- 2.330 Å, I = 59
- 2.400 Å, I = 54
- 3.122 Å, I = 44

[3]
Calculated XRD peak list of Ce6CoIr2 for copper Kα, from a DFT-relaxed cell (PBE, Alexandria).

```
data_Ce6CoIr2
_cell_length_a 6.2559
_cell_length_b 7.2388
_cell_length_c 11.3379
_cell_angle_alpha 90.00
_cell_angle_beta 121.36
_cell_angle_gamma 90.00
_symmetry_space_group_name_H-M 'P 1 21/c 1'
_symmetry_Int_Tables_number 14
_symmetry_space_group_name_Hall '-P 2ybc'
loop_
_atom_site_label
_atom_site_type_symbol
_atom_site_fract_x
_atom_site_fract_y
_atom_site_fract_z
_atom_site_occupancy
Ce1 Ce 0.0938 0.1929 0.4353 1
Ce2 Ce 0.2980 0.6590 0.4484 1
Ce3 Ce 0.3930 0.0396 0.2457 1
Co1 Co 0.5000 0.0000 0.5000 1
Ir1 Ir 0.1577 0.1193 0.7243 1
```

Principal peaks in the range 10° ≤ 2θ ≤ 80°, in order of falling intensity:
- 2.777 Å, I = 100
- 2.652 Å, I = 87
- 2.826 Å, I = 74
- 2.251 Å, I = 64
- 2.409 Å, I = 55
- 2.632 Å, I = 54

[4]
Calculated XRD peak list of Ce3CoIr for copper Kα, from a DFT-relaxed cell (PBE, Alexandria).

```
data_Ce3CoIr
_cell_length_a 8.8309
_cell_length_b 6.1172
_cell_length_c 8.7608
_cell_angle_alpha 90.00
_cell_angle_beta 108.29
_cell_angle_gamma 90.00
_symmetry_space_group_name_H-M 'P 1 21/c 1'
_symmetry_Int_Tables_number 14
_symmetry_space_group_name_Hall '-P 2ybc'
loop_
_atom_site_label
_atom_site_type_symbol
_atom_site_fract_x
_atom_site_fract_y
_atom_site_fract_z
_atom_site_occupancy
Ce1 Ce 0.0758 0.0314 0.3297 1
Ce2 Ce 0.2911 0.0467 0.0657 1
Ce3 Ce 0.3499 0.6108 0.2459 1
Co1 Co 0.0416 0.7010 0.5493 1
Ir1 Ir 0.4241 0.1651 0.4101 1
```

Principal peaks in the range 10° ≤ 2θ ≤ 80°, in order of falling intensity:
- 2.933 Å, I = 100
- 2.634 Å, I = 87
- 2.871 Å, I = 70
- 2.321 Å, I = 56
- 2.374 Å, I = 51
- 2.754 Å, I = 48

Please write out number 4 again, unchanged.
Calculated XRD peak list of Ce3CoIr for copper Kα, from a DFT-relaxed cell (PBE, Alexandria).

```
data_Ce3CoIr
_cell_length_a 8.8309
_cell_length_b 6.1172
_cell_length_c 8.7608
_cell_angle_alpha 90.00
_cell_angle_beta 108.29
_cell_angle_gamma 90.00
_symmetry_space_group_name_H-M 'P 1 21/c 1'
_symmetry_Int_Tables_number 14
_symmetry_space_group_name_Hall '-P 2ybc'
loop_
_atom_site_label
_atom_site_type_symbol
_atom_site_fract_x
_atom_site_fract_y
_atom_site_fract_z
_atom_site_occupancy
Ce1 Ce 0.0758 0.0314 0.3297 1
Ce2 Ce 0.2911 0.0467 0.0657 1
Ce3 Ce 0.3499 0.6108 0.2459 1
Co1 Co 0.0416 0.7010 0.5493 1
Ir1 Ir 0.4241 0.1651 0.4101 1
```

Principal peaks in the range 10° ≤ 2θ ≤ 80°, in order of falling intensity:
- 2.933 Å, I = 100
- 2.634 Å, I = 87
- 2.871 Å, I = 70
- 2.321 Å, I = 56
- 2.374 Å, I = 51
- 2.754 Å, I = 48